Diffraction record for BaGaPF. The PXRD pattern is simulated, not measured: it uses a PBE-relaxed structure and Cu Ka.
No peak broadening, texture or thermal motion is included.

Atomic structure:
```
BaGaPF
1.0
4.567 0.000 0.000
0.000 4.567 0.000
0.000 0.000 8.514
Ba Ga P F
2 2 2 2
Cartesian
1.142 1.142 1.445 Ba
3.425 3.425 7.069 Ba
1.142 3.425 4.257 Ga
3.425 1.142 4.257 Ga
1.142 1.142 5.361 P
3.425 3.425 3.153 P
1.142 3.425 0.000 F
3.425 1.142 0.000 F
```

Top 8 peaks for 10 to 90 degrees two-theta, in order of falling intensity:
2θ 28.7, 3.114 Å, I 100
2θ 34.9, 2.573 Å, I 80
2θ 22.1, 4.025 Å, I 78
2θ 39.5, 2.284 Å, I 67
2θ 51.4, 1.778 Å, I 55
2θ 49.5, 1.842 Å, I 42
2θ 29.6, 3.020 Å, I 41
2θ 31.5, 2.838 Å, I 25

Diffraction record for Ba2SrGaF. The PXRD pattern is simulated, not measured: it uses a PBE-relaxed structure and Cu Ka.
No peak broadening, texture or thermal motion is included.

Atomic structure:
```
Ba2SrGaF
1.0
5.590 0.000 0.000
0.000 5.590 0.000
0.000 0.000 5.239
Ba Sr Ga F
2 1 1 1
Cartesian
0.000 2.795 0.000 Ba
2.795 0.000 0.000 Ba
0.000 0.000 2.619 Sr
2.795 2.795 2.619 Ga
0.000 0.000 0.000 F
```

Top 8 peaks for 10 to 90 degrees two-theta, in order of falling intensity:
2θ 28.3, 3.155 Å, I 100
2θ 32.0, 2.795 Å, I 44
2θ 54.8, 1.675 Å, I 31
2θ 47.6, 1.911 Å, I 28
2θ 34.2, 2.619 Å, I 18
2θ 45.9, 1.976 Å, I 16
2θ 58.5, 1.578 Å, I 15
2θ 57.7, 1.597 Å, I 13